No. 1
Diffraction record for RbLiIn2Rh. The XRD peak list is theoretical, not measured: it uses a DFT-relaxed cell (PBE, Alexandria) and Cu Kα (weighted mean of Kα1 and Kα2).
Peak positions follow from Bragg's law for the DFT cell and can differ from measured ones.

Top 8 peaks for 10° ≤ 2θ ≤ 90°, in order of falling intensity:
d/Å	I/Imax
2.601	100
5.264	97
3.700	97
3.015	78
1.850	71
2.632	52
2.332	49
2.128	42

Atomic structure:
a b c (Å): 5.202 5.202 5.264
angles (deg): 90.00 90.00 90.00
Positions (direct):
1 Rb 0.000 0.000 0.000
2 Li 0.500 0.500 0.000
3 In 0.000 0.500 0.500
4 In 0.500 0.000 0.500
5 Rh 0.500 0.500 0.500


No. 2
Diffraction record for CsRb2Cu2F7. The XRD peak list is theoretical, not measured: it uses a DFT-relaxed cell (PBE, Alexandria) and Cu Kα (weighted mean of Kα1 and Kα2).
Peak positions follow from Bragg's law for the DFT cell and can differ from measured ones.

Top 8 peaks for 10° ≤ 2θ ≤ 90°, in order of falling intensity:
d/Å	I/Imax
3.058	100
2.996	63
2.119	43
1.742	39
2.324	22
1.529	20
2.209	17
1.778	17

Atomic structure:
a b c (Å): 4.238 4.238 11.438
angles (deg): 100.61 100.61 90.00
Positions (direct):
1 Cs 0.000 0.000 0.000
2 Rb 0.184 0.184 0.370
3 Rb 0.816 0.816 0.630
4 Cu 0.405 0.405 0.809
5 Cu 0.595 0.595 0.191
6 F 0.097 0.597 0.195
7 F 0.316 0.316 0.629
8 F 0.403 0.903 0.805
9 F 0.500 0.500 0.000
10 F 0.597 0.097 0.195
11 F 0.684 0.684 0.371
12 F 0.903 0.403 0.805